Starting from a cell relaxed with GGA-PBE, the powder X-ray diffraction pattern of Ce4PaS10 was simulated for a wavelength of 1.5418 Å.
Intensities are scaled so that the largest is 100.

Principal peaks in the range 2θ from 5° to 70°, by angle:
two_theta	d_spacing	I/Imax
12.1	7.328	3
16.0	5.542	3
17.1	5.182	2
23.5	3.785	100
27.2	3.278	16
34.1	2.633	1
38.9	2.318	81
45.9	1.977	51
48.1	1.892	6
56.1	1.639	13
61.7	1.504	21
63.5	1.466	8

```
Ce4PaS10
1.0
-5.182 5.182 3.279
5.182 -5.182 3.279
5.182 5.182 -3.279
Ce Pa S
4 1 10
direct
0.099 0.301 0.400
0.301 0.901 0.202
0.699 0.099 0.798
0.901 0.699 0.600
0.500 0.500 0.000
0.060 0.156 0.706
0.156 0.451 0.096
0.250 0.750 0.500
0.355 0.060 0.904
0.451 0.355 0.294
0.549 0.645 0.706
0.645 0.940 0.096
0.750 0.250 0.500
0.844 0.549 0.904
0.940 0.844 0.294
```